The following is a theoretical PXRD pattern of FeReTe2N. It was derived from a structure optimized by DFT (PBE), using copper Kα.

Main lines, in order of rising 2θ (10° ≤ 2θ ≤ 90°):
2θ = 16.4°, 5.403 Å, intensity 41; 2θ = 23.9°, 3.722 Å, intensity 57; 2θ = 29.1°, 3.065 Å, intensity 58; 2θ = 33.2°, 2.701 Å, intensity 100; 2θ = 41.3°, 2.186 Å, intensity 56; 2θ = 44.7°, 2.027 Å, intensity 36; 2θ = 47.6°, 1.910 Å, intensity 36; 2θ = 54.0°, 1.699 Å, intensity 26; 2θ = 60.4°, 1.532 Å, intensity 35; 2θ = 70.7°, 1.333 Å, intensity 21

Crystal structure
```
data_FeReTe2N
_chemical_formula_sum 'Fe1 Re1 Te2 N1'
_cell_length_a 5.4029
_cell_length_b 5.4029
_cell_length_c 3.7216
_cell_angle_alpha 90.00
_cell_angle_beta 90.00
_cell_angle_gamma 90.00
_space_group_name_H-M_alt 'P 4/m m m'
_space_group_IT_number 123
_space_group_name_Hall '-P 4 2'
loop_
_atom_site_label
_atom_site_fract_x
_atom_site_fract_y
_atom_site_fract_z
_atom_site_occupancy
Fe1 0.0000 0.0000 0.0000 1
Re1 0.5000 0.5000 0.5000 1
Te1 0.0000 0.5000 0.5000 1
N1 0.5000 0.5000 0.0000 1
```

=====

The following is a theoretical PXRD pattern of Li2AcMgZn4. It was derived from a structure optimized by DFT (PBE), using copper Kα.

Main lines, in order of rising 2θ (10° ≤ 2θ ≤ 90°):
2θ = 23.2°, 3.832 Å, intensity 38; 2θ = 23.8°, 3.733 Å, intensity 100; 2θ = 27.8°, 3.206 Å, intensity 36; 2θ = 31.8°, 2.812 Å, intensity 58; 2θ = 34.1°, 2.629 Å, intensity 66; 2θ = 39.1°, 2.303 Å, intensity 58; 2θ = 40.4°, 2.232 Å, intensity 81; 2θ = 49.9°, 1.828 Å, intensity 20; 2θ = 57.5°, 1.603 Å, intensity 19; 2θ = 64.1°, 1.453 Å, intensity 28

Crystal structure
```
data_Li2AcMgZn4
_chemical_formula_sum 'Li6 Ac3 Mg3 Zn12'
_cell_length_a 4.4645
_cell_length_b 4.4645
_cell_length_c 28.6782
_cell_angle_alpha 90.00
_cell_angle_beta 90.00
_cell_angle_gamma 120.00
_space_group_name_H-M_alt 'R -3 m'
_space_group_IT_number 166
_space_group_name_Hall '-R 3 2"'
loop_
_atom_site_label
_atom_site_fract_x
_atom_site_fract_y
_atom_site_fract_z
_atom_site_occupancy
Li1 0.0000 0.0000 0.2286 1
Ac1 0.0000 0.0000 0.0000 1
Mg1 0.0000 0.0000 0.5000 1
Zn1 0.0000 0.0000 0.1181 1
Zn2 0.0000 0.0000 0.4059 1
```

=====

The following is a theoretical PXRD pattern of HoGa5Pd7. It was derived from a structure optimized by DFT (PBE), using copper Kα.

Main lines, in order of rising 2θ (10° ≤ 2θ ≤ 90°):
2θ = 33.6°, 2.667 Å, intensity 54; 2θ = 34.2°, 2.618 Å, intensity 69; 2θ = 35.0°, 2.562 Å, intensity 47; 2θ = 39.2°, 2.296 Å, intensity 47; 2θ = 39.6°, 2.278 Å, intensity 52; 2θ = 40.0°, 2.254 Å, intensity 44; 2θ = 40.1°, 2.248 Å, intensity 100; 2θ = 40.5°, 2.228 Å, intensity 75; 2θ = 41.2°, 2.191 Å, intensity 50; 2θ = 44.6°, 2.033 Å, intensity 90

Crystal structure
```
data_HoGa5Pd7
_chemical_formula_sum 'Ho2 Ga10 Pd14'
_cell_length_a 5.3349
_cell_length_b 9.0150
_cell_length_c 8.7638
_cell_angle_alpha 90.00
_cell_angle_beta 90.00
_cell_angle_gamma 90.00
_space_group_name_H-M_alt 'I m m 2'
_space_group_IT_number 44
loop_
_space_group_symop_operation_xyz
'x,y,z'
'-x,-y,z'
'-x,y,z'
'x,-y,z'
'x+1/2,y+1/2,z+1/2'
'-x+1/2,-y+1/2,z+1/2'
'-x+1/2,y+1/2,z+1/2'
'x+1/2,-y+1/2,z+1/2'
loop_
_atom_site_label
_atom_site_fract_x
_atom_site_fract_y
_atom_site_fract_z
_atom_site_occupancy
Ho1 0.0000 0.0000 0.0000 1
Ga1 0.0000 0.5000 0.2656 1
Ga2 0.2462 0.2590 0.7396 1
Pd1 0.0000 0.0000 0.3376 1
Pd2 0.0000 0.0000 0.6637 1
Pd3 0.0000 0.2958 0.4807 1
Pd4 0.0000 0.3385 0.0021 1
Pd5 0.0000 0.5000 0.7185 1
```

=====

The following is a theoretical PXRD pattern of Pm6Sm2Er. It was derived from a structure optimized by DFT (PBE), using copper Kα.

Main lines, in order of rising 2θ (10° ≤ 2θ ≤ 90°):
2θ = 28.1°, 3.179 Å, intensity 44; 2θ = 29.0°, 3.081 Å, intensity 35; 2θ = 30.1°, 2.967 Å, intensity 78; 2θ = 30.8°, 2.899 Å, intensity 100; 2θ = 31.1°, 2.874 Å, intensity 56; 2θ = 31.5°, 2.841 Å, intensity 60; 2θ = 32.4°, 2.765 Å, intensity 52; 2θ = 33.2°, 2.698 Å, intensity 43; 2θ = 34.3°, 2.613 Å, intensity 34; 2θ = 58.6°, 1.575 Å, intensity 20

Crystal structure
```
data_Pm6Sm2Er
_chemical_formula_sum 'Pm24 Sm8 Er4'
_cell_length_a 12.9628
_cell_length_b 14.5877
_cell_length_c 6.7211
_cell_angle_alpha 90.00
_cell_angle_beta 105.18
_cell_angle_gamma 90.00
_space_group_name_H-M_alt 'C 1 2/c 1'
_space_group_IT_number 15
loop_
_space_group_symop_operation_xyz
'x,y,z'
'-x,-y,-z'
'-x,y,-z+1/2'
'x,-y,z+1/2'
'x+1/2,y+1/2,z'
'-x+1/2,-y+1/2,-z'
'-x+1/2,y+1/2,-z+1/2'
'x+1/2,-y+1/2,z+1/2'
loop_
_atom_site_label
_atom_site_fract_x
_atom_site_fract_y
_atom_site_fract_z
_atom_site_occupancy
Pm1 0.0360 0.1842 0.0063 1
Pm2 0.1308 0.4078 0.8188 1
Pm3 0.2393 0.2018 0.7216 1
Sm1 0.1453 0.0236 0.3698 1
Er1 0.0000 0.3823 0.2500 1
```

=====

The following is a theoretical PXRD pattern of Cd2SnF6. It was derived from a structure optimized by DFT (PBE), using copper Kα.

Main lines, in order of rising 2θ (10° ≤ 2θ ≤ 90°):
2θ = 17.8°, 4.994 Å, intensity 10; 2θ = 24.8°, 3.583 Å, intensity 100; 2θ = 30.1°, 2.970 Å, intensity 46; 2θ = 35.2°, 2.553 Å, intensity 15; 2θ = 39.4°, 2.287 Å, intensity 30; 2θ = 47.6°, 1.911 Å, intensity 50; 2θ = 50.4°, 1.812 Å, intensity 29; 2θ = 53.4°, 1.715 Å, intensity 22; 2θ = 68.4°, 1.372 Å, intensity 12; 2θ = 74.3°, 1.276 Å, intensity 13

Crystal structure
```
data_Cd2SnF6
_chemical_formula_sum 'Cd2 Sn1 F6'
_cell_length_a 5.9399
_cell_length_b 5.9399
_cell_length_c 4.9943
_cell_angle_alpha 90.00
_cell_angle_beta 90.00
_cell_angle_gamma 120.00
_space_group_name_H-M_alt 'P -3 1 m'
_space_group_IT_number 162
_space_group_name_Hall '-P 3 2'
loop_
_atom_site_label
_atom_site_fract_x
_atom_site_fract_y
_atom_site_fract_z
_atom_site_occupancy
Cd1 0.3333 0.6667 0.0000 1
Sn1 0.0000 0.0000 0.5000 1
F1 0.0000 0.3404 0.2330 1
```

=====

The following is a theoretical PXRD pattern of Ho4BClO7. It was derived from a structure optimized by DFT (PBE), using copper Kα.

Main lines, in order of rising 2θ (10° ≤ 2θ ≤ 90°):
2θ = 11.8°, 7.520 Å, intensity 31; 2θ = 24.7°, 3.609 Å, intensity 77; 2θ = 30.2°, 2.956 Å, intensity 61; 2θ = 30.7°, 2.916 Å, intensity 100; 2θ = 33.7°, 2.661 Å, intensity 60; 2θ = 35.2°, 2.547 Å, intensity 27; 2θ = 45.2°, 2.004 Å, intensity 23; 2θ = 46.9°, 1.937 Å, intensity 29; 2θ = 52.0°, 1.760 Å, intensity 26; 2θ = 58.6°, 1.576 Å, intensity 23

Crystal structure
```
data_Ho4BClO7
_chemical_formula_sum 'Ho16 B4 Cl4 O28'
_cell_length_a 8.5996
_cell_length_b 8.0174
_cell_length_c 12.2097
_cell_angle_alpha 90.00
_cell_angle_beta 119.02
_cell_angle_gamma 90.00
_space_group_name_H-M_alt 'P 1 21/c 1'
_space_group_IT_number 14
loop_
_space_group_symop_operation_xyz
'x,y,z'
'-x,-y,-z'
'-x,y+1/2,-z+1/2'
'x,-y+1/2,z+1/2'
loop_
_atom_site_label
_atom_site_fract_x
_atom_site_fract_y
_atom_site_fract_z
_atom_site_occupancy
Ho1 0.0674 0.1382 0.4175 1
Ho2 0.0726 0.6169 0.4076 1
Ho3 0.2963 0.1252 0.7778 1
Ho4 0.3163 0.6160 0.7769 1
B1 0.3705 0.1305 0.0865 1
Cl1 0.3738 0.6491 0.0258 1
O1 0.0435 0.1232 0.5973 1
O2 0.0749 0.6217 0.5929 1
O3 0.1803 0.1173 0.2814 1
O4 0.1871 0.6357 0.2720 1
O5 0.2717 0.1127 0.9576 1
O6 0.3921 0.2121 0.6377 1
O7 0.4378 0.5061 0.6638 1
```

=====

The following is a theoretical PXRD pattern of Cd2Ag15Bi2. It was derived from a structure optimized by DFT (PBE), using copper Kα.

Main lines, in order of rising 2θ (10° ≤ 2θ ≤ 90°):
2θ = 27.2°, 3.283 Å, intensity 23; 2θ = 31.9°, 2.809 Å, intensity 50; 2θ = 32.9°, 2.722 Å, intensity 37; 2θ = 37.0°, 2.432 Å, intensity 68; 2θ = 37.2°, 2.418 Å, intensity 100; 2θ = 37.9°, 2.376 Å, intensity 55; 2θ = 41.7°, 2.165 Å, intensity 67; 2θ = 42.3°, 2.136 Å, intensity 32; 2θ = 64.0°, 1.454 Å, intensity 24; 2θ = 66.6°, 1.404 Å, intensity 31

Crystal structure
```
data_Cd2Ag15Bi2
_chemical_formula_sum 'Cd6 Ag45 Bi6'
_cell_length_a 9.7295
_cell_length_b 9.7295
_cell_length_c 14.2611
_cell_angle_alpha 90.00
_cell_angle_beta 90.00
_cell_angle_gamma 120.00
_space_group_name_H-M_alt 'R -3 m'
_space_group_IT_number 166
_space_group_name_Hall '-R 3 2"'
loop_
_atom_site_label
_atom_site_fract_x
_atom_site_fract_y
_atom_site_fract_z
_atom_site_occupancy
Cd1 0.0000 0.0000 0.1081 1
Ag1 0.0000 0.3115 0.0000 1
Ag2 0.0000 0.5000 0.5000 1
Ag3 0.0019 0.5009 0.1576 1
Bi1 0.0000 0.0000 0.3748 1
```

=====

The following is a theoretical PXRD pattern of Ta2TlSi. It was derived from a structure optimized by DFT (PBE), using copper Kα.

Main lines, in order of rising 2θ (10° ≤ 2θ ≤ 90°):
2θ = 27.1°, 3.286 Å, intensity 46; 2θ = 35.5°, 2.531 Å, intensity 28; 2θ = 36.8°, 2.440 Å, intensity 100; 2θ = 38.0°, 2.370 Å, intensity 52; 2θ = 38.3°, 2.352 Å, intensity 90; 2θ = 39.1°, 2.306 Å, intensity 18; 2θ = 45.3°, 2.003 Å, intensity 19; 2θ = 47.2°, 1.924 Å, intensity 28; 2θ = 62.1°, 1.494 Å, intensity 25; 2θ = 66.9°, 1.399 Å, intensity 18

Crystal structure
```
data_Ta2TlSi
_chemical_formula_sum 'Ta2 Tl1 Si1'
_cell_length_a 3.0142
_cell_length_b 3.8489
_cell_length_c 6.4013
_cell_angle_alpha 90.00
_cell_angle_beta 99.59
_cell_angle_gamma 90.00
_space_group_name_H-M_alt 'P 1 2/m 1'
_space_group_IT_number 10
loop_
_space_group_symop_operation_xyz
'x,y,z'
'-x,-y,-z'
'-x,y,-z'
'x,-y,z'
loop_
_atom_site_label
_atom_site_fract_x
_atom_site_fract_y
_atom_site_fract_z
_atom_site_occupancy
Ta1 0.0714 0.0000 0.2859 1
Tl1 0.5000 0.5000 0.0000 1
Si1 0.5000 0.5000 0.5000 1
```

=====

The following is a theoretical PXRD pattern of Y3Sc. It was derived from a structure optimized by DFT (PBE), using copper Kα.

Main lines, in order of rising 2θ (10° ≤ 2θ ≤ 90°):
2θ = 28.9°, 3.088 Å, intensity 24; 2θ = 32.3°, 2.773 Å, intensity 24; 2θ = 33.2°, 2.698 Å, intensity 100; 2θ = 43.9°, 2.063 Å, intensity 15; 2θ = 51.2°, 1.783 Å, intensity 19; 2θ = 58.2°, 1.586 Å, intensity 19; 2θ = 61.9°, 1.500 Å, intensity 21; 2θ = 62.4°, 1.487 Å, intensity 15; 2θ = 84.9°, 1.142 Å, intensity 12; 2θ = 89.6°, 1.094 Å, intensity 7

Crystal structure
```
data_Y3Sc
_chemical_formula_sum 'Y6 Sc2'
_cell_length_a 7.1314
_cell_length_b 7.1314
_cell_length_c 5.5460
_cell_angle_alpha 90.00
_cell_angle_beta 90.00
_cell_angle_gamma 120.00
_space_group_name_H-M_alt 'P 63/m m c'
_space_group_IT_number 194
_space_group_name_Hall '-P 6c 2c'
loop_
_atom_site_label
_atom_site_fract_x
_atom_site_fract_y
_atom_site_fract_z
_atom_site_occupancy
Y1 0.1695 0.3390 0.2500 1
Sc1 0.3333 0.6667 0.7500 1
```

=====

The following is a theoretical PXRD pattern of VGa2Ni8. It was derived from a structure optimized by DFT (PBE), using copper Kα.

Main lines, in order of rising 2θ (10° ≤ 2θ ≤ 90°):
2θ = 30.6°, 2.920 Å, intensity 13; 2θ = 39.0°, 2.310 Å, intensity 13; 2θ = 44.2°, 2.049 Å, intensity 100; 2θ = 45.3°, 2.000 Å, intensity 80; 2θ = 46.7°, 1.947 Å, intensity 36; 2θ = 48.2°, 1.888 Å, intensity 39; 2θ = 60.9°, 1.522 Å, intensity 16; 2θ = 69.3°, 1.355 Å, intensity 20; 2θ = 81.2°, 1.185 Å, intensity 13; 2θ = 87.2°, 1.118 Å, intensity 12

Crystal structure
```
data_VGa2Ni8
_chemical_formula_sum 'V2 Ga4 Ni16'
_cell_length_a 7.2923
_cell_length_b 9.7554
_cell_length_c 3.7755
_cell_angle_alpha 90.00
_cell_angle_beta 90.00
_cell_angle_gamma 90.00
_space_group_name_H-M_alt 'C m m m'
_space_group_IT_number 65
_space_group_name_Hall '-C 2 2'
loop_
_atom_site_label
_atom_site_fract_x
_atom_site_fract_y
_atom_site_fract_z
_atom_site_occupancy
V1 0.0000 0.0000 0.0000 1
Ga1 0.0000 0.3713 0.5000 1
Ni1 0.0000 0.2399 0.0000 1
Ni2 0.1688 0.1289 0.5000 1
Ni3 0.1707 0.5000 0.0000 1
```